1.
# AcTb2NpO8
Computed PXRD pattern, CuKα. Input: a cell relaxed with GGA-PBE.
No peak broadening, texture or thermal motion is included.

Cell and atoms:
a = 4.0372 Å, b = 7.6182 Å, c = 5.4945 Å
α = 90.00°, β = 94.80°, γ = 90.00°
Space group P2/m (No. 10)
One atom of each set of equivalent atoms:
Ac  0.0000  0.0000  0.0000 [1 per cell]
Tb  0.5000  0.2462  0.5000 [2 per cell]
Np  0.0000  0.5000  0.0000 [1 per cell]
O  0.0344  0.2901  0.7584 [4 per cell]
O  0.4436  0.5000  0.2211 [2 per cell]
O  0.4851  0.0000  0.7320 [2 per cell]

The 10 most intense peaks (2θ from 15° to 90°), low angle first:
hkl 1 0 -1, 2θ 26.37, d 3.380, intensity 40; hkl 1 0 1, 2θ 28.57, d 3.124, intensity 100; hkl 1 2 0, 2θ 32.37, d 2.766, intensity 34; hkl 0 0 2, 2θ 32.71, d 2.738, intensity 16; hkl 2 0 0, 2θ 45.07, d 2.011, intensity 13; hkl 1 2 -2, 2θ 45.24, d 2.004, intensity 25; hkl 1 2 2, 2θ 48.09, d 1.892, intensity 21; hkl 2 2 -1, 2θ 52.94, d 1.730, intensity 12; hkl 1 4 -1, 2θ 55.37, d 1.659, intensity 11; hkl 0 2 3, 2θ 55.86, d 1.646, intensity 11

=====

2.
# AcNpTe2O8
Computed PXRD pattern, CuKα. Input: a cell relaxed with GGA-PBE.
No peak broadening, texture or thermal motion is included.

Cell and atoms:
a = 11.8278 Å, b = 5.3455 Å, c = 7.1793 Å
α = 90.00°, β = 119.49°, γ = 90.00°
Space group C2/m (No. 12)
One atom of each set of equivalent atoms:
Ac  0.0000  0.0000  0.0000 [2 per cell]
Np  0.0000  0.5000  0.5000 [2 per cell]
Te  0.2064  0.0000  0.6204 [4 per cell]
O  0.0289  0.2465  0.7147 [8 per cell]
O  0.1344  0.5000  0.1299 [4 per cell]
O  0.2401  0.5000  0.6049 [4 per cell]

The 10 most intense peaks (2θ from 15° to 90°), low angle first:
hkl 2 0 0, 2θ 17.23, d 5.148, intensity 24; hkl 1 1 -1, 2θ 20.78, d 4.274, intensity 22; hkl 2 0 -2, 2θ 25.02, d 3.559, intensity 44; hkl 1 1 1, 2θ 26.03, d 3.423, intensity 80; hkl 3 1 -1, 2θ 28.16, d 3.169, intensity 100; hkl 0 2 0, 2θ 33.53, d 2.673, intensity 34; hkl 4 0 0, 2θ 34.86, d 2.574, intensity 24; hkl 3 1 1, 2θ 39.42, d 2.286, intensity 24; hkl 2 2 -2, 2θ 42.29, d 2.137, intensity 30; hkl 5 1 -3, 2θ 47.37, d 1.919, intensity 26

=====

3.
# Ac2NpTlO8
Computed PXRD pattern, CuKα. Input: a cell relaxed with GGA-PBE.
No peak broadening, texture or thermal motion is included.

Cell and atoms:
a = 4.3232 Å, b = 8.1724 Å, c = 5.5984 Å
α = 90.00°, β = 97.76°, γ = 90.00°
Space group P2/m (No. 10)
One atom of each set of equivalent atoms:
Ac  0.0000  0.2408  0.0000 [2 per cell]
Np  0.5000  0.0000  0.5000 [1 per cell]
Tl  0.5000  0.5000  0.5000 [1 per cell]
O  0.0870  0.0000  0.2828 [2 per cell]
O  0.1323  0.5000  0.2427 [2 per cell]
O  0.4367  0.1942  0.7278 [4 per cell]

The 10 most intense peaks (2θ from 15° to 90°), low angle first:
hkl 1 0 -1, 2θ 24.48, d 3.636, intensity 68; hkl 0 2 1, 2θ 27.10, d 3.290, intensity 100; hkl 1 0 1, 2θ 27.98, d 3.189, intensity 45; hkl 1 2 0, 2θ 30.23, d 2.957, intensity 59; hkl 0 0 2, 2θ 32.28, d 2.774, intensity 23; hkl 2 0 0, 2θ 42.19, d 2.142, intensity 18; hkl 1 2 -2, 2θ 42.56, d 2.124, intensity 38; hkl 1 2 2, 2θ 46.96, d 1.935, intensity 27; hkl 2 2 -1, 2θ 48.85, d 1.865, intensity 20; hkl 1 4 -1, 2θ 51.29, d 1.781, intensity 19

=====

4.
# Ac4NpP5
Computed PXRD pattern, CuKα. Input: a cell relaxed with GGA-PBE.
No peak broadening, texture or thermal motion is included.

Cell and atoms:
a = 4.3719 Å, b = 4.3719 Å, c = 30.8167 Å
α = 90.00°, β = 90.00°, γ = 90.00°
Space group I4/mmm (No. 139)
One atom of each set of equivalent atoms:
Ac  0.0000  0.0000  0.0976 [4 per cell]
Ac  0.0000  0.0000  0.3010 [4 per cell]
Np  0.0000  0.0000  0.5000 [2 per cell]
P  0.0000  0.0000  0.0000 [2 per cell]
P  0.0000  0.0000  0.1992 [4 per cell]
P  0.0000  0.0000  0.4072 [4 per cell]

The 10 most intense peaks (2θ from 15° to 90°), low angle first:
hkl 1 0 5, 2θ 24.97, d 3.566, intensity 100; hkl 1 1 0, 2θ 28.91, d 3.088, intensity 93; hkl 2 0 0, 2θ 41.35, d 2.184, intensity 71; hkl 2 1 5, 2θ 48.87, d 1.864, intensity 35; hkl 1 0 15, 2θ 48.99, d 1.859, intensity 18; hkl 2 0 10, 2θ 51.24, d 1.783, intensity 25; hkl 3 0 5, 2θ 65.92, d 1.417, intensity 22; hkl 3 1 0, 2θ 67.78, d 1.383, intensity 11; hkl 3 1 10, 2θ 75.35, d 1.261, intensity 17; hkl 3 2 5, 2θ 80.81, d 1.189, intensity 13

=====

5.
# Ac2NpSb3Pd4
Computed PXRD pattern, CuKα. Input: a cell relaxed with GGA-PBE.
No peak broadening, texture or thermal motion is included.

Cell and atoms:
a = 4.6532 Å, b = 4.6532 Å, c = 11.4278 Å
α = 90.00°, β = 90.00°, γ = 90.00°
Space group P-4m2 (No. 115)
One atom of each set of equivalent atoms:
Ac  0.0000  0.5000  0.2224 [2 per cell]
Np  0.0000  0.0000  0.5000 [1 per cell]
Sb  0.0000  0.5000  0.8750 [2 per cell]
Sb  0.5000  0.5000  0.5000 [1 per cell]
Pd  0.0000  0.0000  0.0000 [1 per cell]
Pd  0.0000  0.5000  0.6437 [2 per cell]
Pd  0.5000  0.5000  0.0000 [1 per cell]

The 10 most intense peaks (2θ from 15° to 90°), low angle first:
hkl 1 0 3, 2θ 30.32, d 2.948, intensity 42; hkl 1 1 2, 2θ 31.37, d 2.852, intensity 100; hkl 2 0 0, 2θ 38.70, d 2.327, intensity 55; hkl 1 1 4, 2θ 41.88, d 2.157, intensity 18; hkl 1 0 5, 2θ 44.15, d 2.051, intensity 18; hkl 2 1 3, 2θ 49.94, d 1.826, intensity 21; hkl 2 2 0, 2θ 55.89, d 1.645, intensity 19; hkl 2 1 5, 2θ 60.13, d 1.539, intensity 13; hkl 3 1 2, 2θ 65.50, d 1.425, intensity 26; hkl 4 0 0, 2θ 82.97, d 1.164, intensity 11

=====

6.
# AcNp2Pt9
Computed PXRD pattern, CuKα. Input: a cell relaxed with GGA-PBE.
No peak broadening, texture or thermal motion is included.

Cell and atoms:
a = 5.4627 Å, b = 5.4627 Å, c = 26.7340 Å
α = 90.00°, β = 90.00°, γ = 120.00°
Space group R-3m (No. 166, hexagonal axes)
One atom of each set of equivalent atoms:
Ac  0.0000  0.0000  0.0000 [3 per cell]
Np  0.0000  0.0000  0.1440 [6 per cell]
Pt  0.0000  0.0000  0.3326 [6 per cell]
Pt  0.0000  0.0000  0.5000 [3 per cell]
Pt  0.0041  0.5021  0.9139 [18 per cell]

The 10 most intense peaks (2θ from 15° to 90°), low angle first:
hkl 1 0 7, 2θ 30.07, d 2.971, intensity 17; hkl 1 1 0, 2θ 32.80, d 2.731, intensity 36; hkl 0 2 1, 2θ 38.20, d 2.356, intensity 25; hkl 1 1 6, 2θ 38.67, d 2.329, intensity 100; hkl 0 0 12, 2θ 40.48, d 2.229, intensity 32; hkl 2 0 5, 2θ 41.77, d 2.163, intensity 41; hkl 0 3 6, 2θ 62.48, d 1.486, intensity 29; hkl 2 2 0, 2θ 68.74, d 1.366, intensity 24; hkl 2 0 17, 2θ 72.12, d 1.310, intensity 10; hkl 2 2 12, 2θ 82.92, d 1.164, intensity 18

=====

7.
# Rb4AcNp3S12
Computed PXRD pattern, CuKα. Input: a cell relaxed with GGA-PBE.
No peak broadening, texture or thermal motion is included.

Cell and atoms:
a = 10.6211 Å, b = 10.6211 Å, c = 10.6211 Å
α = 90.00°, β = 90.00°, γ = 90.00°
Space group Im-3m (No. 229)
One atom of each set of equivalent atoms:
Rb  0.2500  0.2500  0.2500 [8 per cell]
Ac  0.0000  0.0000  0.0000 [2 per cell]
Np  0.0000  0.0000  0.5000 [6 per cell]
S  0.0000  0.0000  0.2684 [12 per cell]
S  0.0000  0.2500  0.5000 [12 per cell]

The 10 most intense peaks (2θ from 15° to 90°), low angle first:
hkl 2 0 0, 2θ 16.69, d 5.311, intensity 44; hkl 2 2 0, 2θ 23.69, d 3.755, intensity 100; hkl 4 0 0, 2θ 33.76, d 2.655, intensity 44; hkl 4 2 0, 2θ 37.88, d 2.375, intensity 23; hkl 4 2 2, 2θ 41.66, d 2.168, intensity 47; hkl 4 4 0, 2θ 48.48, d 1.878, intensity 31; hkl 6 2 0, 2θ 54.65, d 1.679, intensity 22; hkl 6 4 2, 2θ 65.80, d 1.419, intensity 26; hkl 6 6 0, 2θ 76.03, d 1.252, intensity 12; hkl 8 4 0, 2θ 80.96, d 1.187, intensity 14

=====

8.
# RbAc2NpSe5
Computed PXRD pattern, CuKα. Input: a cell relaxed with GGA-PBE.
No peak broadening, texture or thermal motion is included.

Cell and atoms:
a = 5.3443 Å, b = 7.7859 Å, c = 15.2829 Å
α = 90.00°, β = 90.00°, γ = 90.00°
Space group Immm (No. 71)
One atom of each set of equivalent atoms:
Rb  0.0000  0.0000  0.0000 [2 per cell]
Ac  0.0000  0.5000  0.2054 [4 per cell]
Np  0.0000  0.0000  0.5000 [2 per cell]
Se  0.0000  0.2339  0.3517 [8 per cell]
Se  0.0000  0.5000  0.0000 [2 per cell]

The 10 most intense peaks (2θ from 15° to 90°), low angle first:
hkl 0 2 0, 2θ 22.84, d 3.893, intensity 18; hkl 1 1 2, 2θ 23.30, d 3.817, intensity 100; hkl 0 1 5, 2θ 31.44, d 2.845, intensity 26; hkl 0 2 4, 2θ 32.84, d 2.727, intensity 40; hkl 2 0 0, 2θ 33.50, d 2.675, intensity 84; hkl 1 3 2, 2θ 40.40, d 2.233, intensity 26; hkl 1 0 7, 2θ 44.84, d 2.021, intensity 14; hkl 0 4 0, 2θ 46.64, d 1.947, intensity 32; hkl 2 2 4, 2θ 47.65, d 1.909, intensity 29; hkl 2 4 0, 2θ 58.68, d 1.573, intensity 14

=====

What did the eighth record say?
# RbAc2NpSe5
Computed PXRD pattern, CuKα. Input: a cell relaxed with GGA-PBE.
No peak broadening, texture or thermal motion is included.

Cell and atoms:
a = 5.3443 Å, b = 7.7859 Å, c = 15.2829 Å
α = 90.00°, β = 90.00°, γ = 90.00°
Space group Immm (No. 71)
One atom of each set of equivalent atoms:
Rb  0.0000  0.0000  0.0000 [2 per cell]
Ac  0.0000  0.5000  0.2054 [4 per cell]
Np  0.0000  0.0000  0.5000 [2 per cell]
Se  0.0000  0.2339  0.3517 [8 per cell]
Se  0.0000  0.5000  0.0000 [2 per cell]

The 10 most intense peaks (2θ from 15° to 90°), low angle first:
hkl 0 2 0, 2θ 22.84, d 3.893, intensity 18; hkl 1 1 2, 2θ 23.30, d 3.817, intensity 100; hkl 0 1 5, 2θ 31.44, d 2.845, intensity 26; hkl 0 2 4, 2θ 32.84, d 2.727, intensity 40; hkl 2 0 0, 2θ 33.50, d 2.675, intensity 84; hkl 1 3 2, 2θ 40.40, d 2.233, intensity 26; hkl 1 0 7, 2θ 44.84, d 2.021, intensity 14; hkl 0 4 0, 2θ 46.64, d 1.947, intensity 32; hkl 2 2 4, 2θ 47.65, d 1.909, intensity 29; hkl 2 4 0, 2θ 58.68, d 1.573, intensity 14